Structure and calculated X-ray diffraction stick pattern of Pm3Ga2Hg3 (a GGA-PBE-relaxed structure; Cu Ka).
Neutral-atom scattering factors, no anomalous dispersion.

Cell and atoms:
```
data_Pm3Ga2Hg3
_cell_length_a 4.5619
_cell_length_b 11.2474
_cell_length_c 15.6440
_cell_angle_alpha 90.00
_cell_angle_beta 90.00
_cell_angle_gamma 90.00
_symmetry_space_group_name_H-M 'C m c m'
_symmetry_Int_Tables_number 63
_symmetry_space_group_name_Hall '-C 2c 2'
loop_
_atom_site_label
_atom_site_fract_x
_atom_site_fract_y
_atom_site_fract_z
Pm1 0.0000 0.0827 0.1075
Pm2 0.0000 0.3587 0.2500
Ga1 0.0000 0.2055 0.6123
Hg1 0.0000 0.3644 0.7500
Hg2 0.0000 0.3736 0.0351
```

Principal peaks in the range 10 to 90 degrees two-theta, sorted by position:
Position (°2θ)	I_rel
30.87	262
31.15	1000
31.82	340
35.45	493
38.68	422
39.50	570
43.58	179
51.60	181

=====

Structure and calculated X-ray diffraction stick pattern of Pm6GaHg6 (a GGA-PBE-relaxed structure; Cu Ka).
Neutral-atom scattering factors, no anomalous dispersion.

Cell and atoms:
```
data_Pm6GaHg6
_cell_length_a 6.3691
_cell_length_b 6.3691
_cell_length_c 10.6357
_cell_angle_alpha 90.00
_cell_angle_beta 90.00
_cell_angle_gamma 120.00
_symmetry_space_group_name_H-M 'P 6/m m m'
_symmetry_Int_Tables_number 191
_symmetry_space_group_name_Hall '-P 6 2'
loop_
_atom_site_label
_atom_site_fract_x
_atom_site_fract_y
_atom_site_fract_z
Pm1 0.0000 0.0000 0.1983
Pm2 0.3333 0.6667 0.0000
Pm3 0.3333 0.6667 0.5000
Ga1 0.0000 0.0000 0.5000
Hg1 0.0000 0.5000 0.2506
```

Principal peaks in the range 10 to 90 degrees two-theta, sorted by position:
Position (°2θ)	I_rel
16.67	239
32.46	411
32.78	337
33.71	287
36.71	1000
47.50	201
57.92	228
68.71	223